Calculated powder XRD pattern of NbVS for copper Kα, from a crystal structure in Alexandria, relaxed with GGA-PBE.

Cell and atoms:
```
6
Lattice="4.636 -1.625 0.000 4.636 1.625 0.000 -2.559 0.000 6.018" Properties=species:S:1:pos:R:3 pbc="T T T"
Nb 0.410 0.000 1.738
Nb 6.303 0.000 4.280
V 3.258 0.000 0.394
V 3.455 0.000 5.624
S -0.331 0.000 4.171
S 7.044 0.000 1.847
```

The 6 most intense peaks (2θ from 5° to 70°), sorted by position:
2θ/deg, I/Imax
34.90, 967
39.10, 421
40.36, 1000
42.37, 663
44.12, 443
45.26, 683